# 1
Computed X-ray powder pattern
Compound: BaLi4Bi2
Radiation: Cu Kα, 1.54184 Å
Structure: a crystal structure in Alexandria, relaxed with PBE
Neutral-atom scattering factors, no anomalous dispersion.

Crystal structure
Lattice parameters (Å, degrees): 8.848 8.848 4.858 90.00 90.00 90.00
Space group P4_2/mnm (No. 136)
Unique sites:
Ba 0.000 0.000 0.000 x2
Li 0.098 0.332 0.500 x8
Bi 0.216 0.784 0.500 x4

Largest 8 diffraction maxima, sorted by position, 2θ = 10–90°:
2θ (°)  I_rel  (hkl)
20.1  28  2 0 0
23.2  100  1 1 1
28.5  46  2 2 0
29.1  37  2 1 1
35.6  32  3 0 1
37.1  63  0 0 2
47.4  31  2 2 2
59.4  23  5 2 1

# 2
Computed X-ray powder pattern
Compound: Ba2Li2BiO6
Radiation: Cu Kα, 1.54184 Å
Structure: a crystal structure in Alexandria, relaxed with PBE
Neutral-atom scattering factors, no anomalous dispersion.

Crystal structure
Lattice parameters (Å, degrees): 6.0316 6.0316 16.2407 90.00 90.00 120.00
Space group R-3m (No. 166, hexagonal axes)
Unique sites:
Ba 0.0000 0.0000 0.2258 x6
Li 0.0000 0.0000 0.4236 x6
Bi 0.0000 0.0000 0.0000 x3
O 0.0157 0.5078 0.7486 x18

Largest 8 diffraction maxima, sorted by position, 2θ = 10–90°:
2θ (°)  I_rel  (hkl)
17.8  99  1 0 1
27.8  87  1 0 4
29.6  100  1 1 0
32.5  60  0 1 5
41.1  55  0 2 4
51.5  33  2 1 4
54.4  31  1 2 5
59.7  34  1 1 9

# 3
Computed X-ray powder pattern
Compound: Ba2LiBi3Pd4
Radiation: Cu Kα, 1.54184 Å
Structure: a crystal structure in Alexandria, relaxed with PBE
Neutral-atom scattering factors, no anomalous dispersion.

Crystal structure
Lattice parameters (Å, degrees): 4.839 4.839 11.035 90.00 90.00 90.00
Space group P-4m2 (No. 115)
Unique sites:
Ba 0.000 0.500 0.247 x2
Li 0.000 0.000 0.500 x1
Bi 0.000 0.500 0.872 x2
Bi 0.500 0.500 0.500 x1
Pd 0.000 0.000 0.000 x1
Pd 0.000 0.500 0.621 x2
Pd 0.500 0.500 0.000 x1

Largest 8 diffraction maxima, sorted by position, 2θ = 10–90°:
2θ (°)  I_rel  (hkl)
20.0  38  1 0 1
30.5  100  1 0 3
30.7  88  1 1 2
37.2  96  2 0 0
42.1  50  1 1 4
45.2  35  1 0 5
48.8  54  2 1 3
53.6  34  2 2 0

# 4
Computed X-ray powder pattern
Compound: Ba2LiBiS4
Radiation: Cu Kα, 1.54184 Å
Structure: a crystal structure in Alexandria, relaxed with PBE
Neutral-atom scattering factors, no anomalous dispersion.

Crystal structure
Lattice parameters (Å, degrees): 8.444 8.747 11.985 90.00 90.00 90.00
Space group Imma (No. 74)
Unique sites:
Ba 0.000 0.000 0.000 x4
Ba 0.250 0.250 0.250 x4
Li 0.000 0.000 0.500 x4
Bi 0.250 0.250 0.750 x4
S 0.000 0.021 0.738 x8
S 0.234 0.250 0.511 x8

Largest 8 diffraction maxima, sorted by position, 2θ = 10–90°:
2θ (°)  I_rel  (hkl)
12.8  24  1 0 1
14.8  27  0 0 2
25.2  46  0 2 2
25.8  43  2 0 2
29.4  100  2 2 0
29.8  48  0 0 4
42.4  71  2 2 4
51.8  19  0 4 4

# 5
Computed X-ray powder pattern
Compound: BaLiBiSe3
Radiation: Cu Kα, 1.54184 Å
Structure: a crystal structure in Alexandria, relaxed with PBE
Neutral-atom scattering factors, no anomalous dispersion.

Crystal structure
Lattice parameters (Å, degrees): 9.021 4.332 9.375 90.00 104.89 90.00
Space group P2_1/m (No. 11)
Unique sites:
Ba 0.195 0.250 0.246 x2
Li 0.088 0.250 0.593 x2
Bi 0.327 0.750 0.842 x2
Se 0.109 0.250 0.873 x2
Se 0.204 0.750 0.518 x2
Se 0.447 0.750 0.170 x2

Largest 8 diffraction maxima, sorted by position, 2θ = 10–90°:
2θ (°)  I_rel  (hkl)
22.8  25  0 1 1
28.9  100  2 1 -1
29.1  49  2 1 0
29.6  36  0 0 3
35.5  27  1 1 -3
38.3  33  2 1 2
41.7  27  0 2 0
46.3  28  3 1 2

# 6
Computed X-ray powder pattern
Compound: Ba4Sr2Lu3Bi3O18
Radiation: Cu Kα, 1.54184 Å
Structure: a crystal structure in Alexandria, relaxed with PBE
Neutral-atom scattering factors, no anomalous dispersion.

Crystal structure
Lattice parameters (Å, degrees): 10.482 6.050 14.816 90.00 90.46 90.00
Space group Cm (No. 8)
Unique sites:
Ba 0.000 0.000 0.000 x2
Ba 0.001 0.000 0.502 x2
Ba 0.168 0.500 0.332 x2
Ba 0.335 0.000 0.668 x2
Sr 0.160 0.500 0.837 x2
Sr 0.325 0.000 0.174 x2
Lu 0.000 0.000 0.248 x2
Lu 0.167 0.500 0.586 x2
Lu 0.332 0.000 0.919 x2
Bi 0.000 0.000 0.753 x2
Bi 0.164 0.500 0.083 x2
Bi 0.334 0.000 0.417 x2
O 0.015 0.500 0.482 x2
O 0.061 0.246 0.659 x4
O 0.114 0.243 0.175 x4
O 0.151 0.000 0.352 x2
O 0.185 0.000 0.814 x2
O 0.222 0.262 0.984 x4
O 0.270 0.250 0.508 x4
O 0.311 0.500 0.696 x2
O 0.349 0.500 0.146 x2
O 0.397 0.242 0.321 x4
O 0.447 0.243 0.845 x4
O 0.471 0.000 0.032 x2

Largest 8 diffraction maxima, sorted by position, 2θ = 10–90°:
2θ (°)  I_rel  (hkl)
29.4  19  2 0 -4
29.6  100  3 1 0
42.2  22  2 2 -4
42.4  10  4 0 4
52.2  9  5 1 -4
52.4  30  1 1 -8
52.5  13  4 2 4
61.3  10  0 4 0

# 7
Computed X-ray powder pattern
Compound: Ba3SrLu2Bi2O12
Radiation: Cu Kα, 1.54184 Å
Structure: a crystal structure in Alexandria, relaxed with PBE
Neutral-atom scattering factors, no anomalous dispersion.

Crystal structure
Lattice parameters (Å, degrees): 6.072 6.072 8.585 90.00 90.00 90.00
Space group P-4m2 (No. 115)
Unique sites:
Ba 0.000 0.000 0.000 x1
Ba 0.000 0.000 0.500 x1
Ba 0.500 0.500 0.000 x1
Sr 0.500 0.500 0.500 x1
Lu 0.000 0.500 0.252 x2
Bi 0.000 0.500 0.749 x2
O 0.000 0.500 0.502 x2
O 0.000 0.500 0.997 x2
O 0.249 0.255 0.747 x8

Largest 8 diffraction maxima, sorted by position, 2θ = 10–90°:
2θ (°)  I_rel  (hkl)
20.7  10  1 1 0
29.4  100  2 0 0
42.1  28  2 2 0
52.2  42  3 1 2
61.1  18  4 0 0
69.2  18  4 2 0
76.9  6  4 0 4
84.4  22  5 1 2